Record 1
For YHoCo2Ge4, a DFT-relaxed cell (PBE, OQMD) gives the computed powder diffraction line list in this record (Cu Kα X-rays).
Lines closer than 0.1° are merged.

Structure:
```
data_YHoCo2Ge4
_cell_length_a 4.1554
_cell_length_b 4.1370
_cell_length_c 16.5640
_cell_angle_alpha 90.00
_cell_angle_beta 90.00
_cell_angle_gamma 90.00
_space_group_name_H-M_alt 'A m m 2'
_space_group_IT_number 38
loop_
_space_group_symop_operation_xyz
'x,y,z'
'-x,-y,z'
'-x,y,z'
'x,-y,z'
'x,y+1/2,z+1/2'
'-x,-y+1/2,z+1/2'
'-x,y+1/2,z+1/2'
'x,-y+1/2,z+1/2'
loop_
_atom_site_label
_atom_site_type_symbol
_atom_site_fract_x
_atom_site_fract_y
_atom_site_fract_z
Y1 Y 0.0000 0.0000 0.0000
Ho1 Ho 0.5000 0.0000 0.7821
Co1 Co 0.0000 0.0000 0.2104
Co2 Co 0.5000 0.0000 0.5720
Ge1 Ge 0.0000 0.0000 0.3463
Ge2 Ge 0.0000 0.0000 0.6406
Ge3 Ge 0.5000 0.0000 0.1418
Ge4 Ge 0.5000 0.0000 0.4358
```

Principal peaks in the range 5° ≤ 2θ ≤ 70°, low angle first:
two_theta, I/Imax, (hkl)
10.68, 11, 0 0 2
30.98, 15, 1 1 1
34.65, 100, 1 1 3
39.18, 23, 1 0 6
43.56, 22, 2 0 0
43.76, 22, 0 2 0
54.58, 10, 0 1 9
56.85, 12, 2 1 5
60.17, 14, 1 2 6
63.46, 14, 2 2 0

---

Record 2
For Ho2Te6Pd, a DFT-relaxed cell (PBE, OQMD) gives the computed powder diffraction line list in this record (Cu Kα X-rays).
Lines closer than 0.1° are merged.

Structure:
```
data_Ho2Te6Pd
_cell_length_a 8.3305
_cell_length_b 8.3305
_cell_length_c 4.0232
_cell_angle_alpha 90.00
_cell_angle_beta 90.00
_cell_angle_gamma 120.00
_space_group_name_H-M_alt 'P -6 2 m'
_space_group_IT_number 189
_space_group_name_Hall 'P -6 -2'
loop_
_atom_site_label
_atom_site_type_symbol
_atom_site_fract_x
_atom_site_fract_y
_atom_site_fract_z
Ho1 Ho 0.3333 0.6667 0.0000
Te1 Te 0.0000 0.2322 0.0000
Te2 Te 0.0000 0.5498 0.5000
Pd1 Pd 0.0000 0.0000 0.5000
```

Principal peaks in the range 5° ≤ 2θ ≤ 70°, low angle first:
two_theta, I/Imax, (hkl)
30.90, 49, 1 1 1
32.85, 51, 2 1 0
33.36, 100, 2 0 1
37.40, 15, 3 0 0
39.94, 30, 2 1 1
43.45, 15, 2 2 0
45.07, 20, 0 0 2
56.88, 21, 2 1 2
60.49, 17, 3 2 1
63.45, 18, 4 1 1